(1)
ErMgZn2: theoretical powder XRD pattern (Cu Kα (weighted mean of Kα1 and Kα2)), based on a GGA-PBE-relaxed structure.
Lines closer than 0.1° are merged.

Most intense lines, 10° ≤ 2θ ≤ 90°, in order of rising 2θ:
d 3.922, 22.67 deg, rel. 42, hkl 1 1 1; d 2.401, 37.45 deg, rel. 100, hkl 2 2 0; d 2.048, 44.23 deg, rel. 22, hkl 3 1 1; d 1.698, 54.00 deg, rel. 17, hkl 4 0 0; d 1.558, 59.30 deg, rel. 9, hkl 3 3 1; d 1.386, 67.56 deg, rel. 34, hkl 4 2 2; d 1.201, 79.89 deg, rel. 10, hkl 4 4 0; d 1.148, 84.36 deg, rel. 7, hkl 5 3 1

```
data_ErMgZn2
_chemical_formula_sum 'Er4 Mg4 Zn8'
_cell_length_a 6.7924
_cell_length_b 6.7924
_cell_length_c 6.7924
_cell_angle_alpha 90.00
_cell_angle_beta 90.00
_cell_angle_gamma 90.00
_symmetry_space_group_name_H-M 'F m -3 m'
_symmetry_Int_Tables_number 225
_symmetry_space_group_name_Hall '-F 4 2 3'
loop_
_atom_site_label
_atom_site_type_symbol
_atom_site_fract_x
_atom_site_fract_y
_atom_site_fract_z
Er1 Er 0.0000 0.0000 0.0000
Mg1 Mg 0.0000 0.0000 0.5000
Zn1 Zn 0.2500 0.2500 0.2500
```

***

(2)
Er3Al2Ni6H7: theoretical powder XRD pattern (Cu Kα (weighted mean of Kα1 and Kα2)), based on a GGA-PBE-relaxed structure.
Lines closer than 0.1° are merged.

Most intense lines, 10° ≤ 2θ ≤ 90°, in order of rising 2θ:
d 2.883, 31.01 deg, rel. 38, hkl 3 1 0; d 2.632, 34.06 deg, rel. 35, hkl 2 2 2; d 2.437, 36.88 deg, rel. 36, hkl 3 2 1; d 2.280, 39.53 deg, rel. 26, hkl 4 0 0; d 2.149, 42.04 deg, rel. 100, hkl 3 3 0; d 1.479, 62.82 deg, rel. 23, hkl 5 3 2; d 1.375, 68.22 deg, rel. 22, hkl 6 2 2; d 1.241, 76.82 deg, rel. 20, hkl 6 3 3

```
data_Er3Al2Ni6H7
_chemical_formula_sum 'Er12 Al8 Ni24 H28'
_cell_length_a 9.1183
_cell_length_b 9.1183
_cell_length_c 9.1183
_cell_angle_alpha 90.00
_cell_angle_beta 90.00
_cell_angle_gamma 90.00
_symmetry_space_group_name_H-M 'I m -3 m'
_symmetry_Int_Tables_number 229
_symmetry_space_group_name_Hall '-I 4 2 3'
loop_
_atom_site_label
_atom_site_type_symbol
_atom_site_fract_x
_atom_site_fract_y
_atom_site_fract_z
Er1 Er 0.0000 0.0000 0.2809
Al1 Al 0.2500 0.2500 0.2500
Ni1 Ni 0.0000 0.3320 0.3320
H1 H 0.0000 0.2500 0.5000
H2 H 0.1232 0.1232 0.1232
```

***

(3)
SrPb2Cl6O5: theoretical powder XRD pattern (Cu Kα (weighted mean of Kα1 and Kα2)), based on a GGA-PBE-relaxed structure.
Lines closer than 0.1° are merged.

Most intense lines, 10° ≤ 2θ ≤ 90°, in order of rising 2θ:
d 8.534, 10.37 deg, rel. 56, hkl 1 1 0; d 5.656, 15.67 deg, rel. 93, hkl 0 2 0; d 4.301, 20.65 deg, rel. 58, hkl 2 2 -1; d 4.047, 21.96 deg, rel. 100, hkl 3 1 0; d 3.892, 22.85 deg, rel. 41, hkl 0 0 2; d 3.208, 27.81 deg, rel. 62, hkl 1 1 2; d 2.601, 34.48 deg, rel. 59, hkl 2 4 -1; d 2.286, 39.41 deg, rel. 54, hkl 5 3 -1

```
data_SrPb2Cl6O5
_chemical_formula_sum 'Sr4 Pb8 Cl24 O20'
_cell_length_a 14.4764
_cell_length_b 11.3118
_cell_length_c 8.6670
_cell_angle_alpha 90.00
_cell_angle_beta 116.09
_cell_angle_gamma 90.00
_symmetry_space_group_name_H-M 'C 1 2/c 1'
_symmetry_Int_Tables_number 15
loop_
_symmetry_equiv_pos_as_xyz
'x,y,z'
'-x,-y,-z'
'-x,y,-z+1/2'
'x,-y,z+1/2'
'x+1/2,y+1/2,z'
'-x+1/2,-y+1/2,-z'
'-x+1/2,y+1/2,-z+1/2'
'x+1/2,-y+1/2,z+1/2'
loop_
_atom_site_label
_atom_site_type_symbol
_atom_site_fract_x
_atom_site_fract_y
_atom_site_fract_z
Sr1 Sr 0.0000 0.0624 0.2500
Pb1 Pb 0.1506 0.4386 0.9907
Cl1 Cl 0.0667 0.3697 0.6051
Cl2 Cl 0.1511 0.1534 0.0135
Cl3 Cl 0.2303 0.3685 0.3603
O1 O 0.0000 0.3077 0.2500
O2 O 0.0435 0.0841 0.5655
O3 O 0.1893 0.0172 0.2440
```

***

(4)
CaGa2Cu3Ru2O12: theoretical powder XRD pattern (Cu Kα (weighted mean of Kα1 and Kα2)), based on a GGA-PBE-relaxed structure.
Lines closer than 0.1° are merged.

Most intense lines, 10° ≤ 2θ ≤ 90°, in order of rising 2θ:
d 2.651, 33.82 deg, rel. 20, hkl 0 0 2; d 2.633, 34.05 deg, rel. 100, hkl 4 0 -2; d 1.869, 48.71 deg, rel. 20, hkl 4 0 0; d 1.853, 49.17 deg, rel. 10, hkl 0 4 0; d 1.527, 60.66 deg, rel. 19, hkl 2 2 -4; d 1.521, 60.89 deg, rel. 19, hkl 6 2 -2; d 1.519, 61.01 deg, rel. 10, hkl 0 4 2; d 1.316, 71.72 deg, rel. 10, hkl 4 4 -4

```
data_CaGa2Cu3Ru2O12
_chemical_formula_sum 'Ca2 Ga4 Cu6 Ru4 O24'
_cell_length_a 10.5468
_cell_length_b 7.4120
_cell_length_c 7.4720
_cell_angle_alpha 90.00
_cell_angle_beta 134.81
_cell_angle_gamma 90.00
_symmetry_space_group_name_H-M 'C 1 2/m 1'
_symmetry_Int_Tables_number 12
loop_
_symmetry_equiv_pos_as_xyz
'x,y,z'
'-x,-y,-z'
'-x,y,-z'
'x,-y,z'
'x+1/2,y+1/2,z'
'-x+1/2,-y+1/2,-z'
'-x+1/2,y+1/2,-z'
'x+1/2,-y+1/2,z'
loop_
_atom_site_label
_atom_site_type_symbol
_atom_site_fract_x
_atom_site_fract_y
_atom_site_fract_z
Ca1 Ca 0.0000 0.0000 0.0000
Ga1 Ga 0.2500 0.2500 0.5000
Cu1 Cu 0.0000 0.0000 0.5000
Cu2 Cu 0.0000 0.5000 0.0000
Cu3 Cu 0.0000 0.5000 0.5000
Ru1 Ru 0.2500 0.2500 0.0000
O1 O 0.0026 0.3077 0.8315
O2 O 0.1725 0.0000 0.4786
O3 O 0.1726 0.0000 0.8647
O4 O 0.1914 0.3269 0.6945
```